Record 1
For BaY2Ag, a cell relaxed with PBE gives the computed powder X-ray diffraction pattern in this record (copper Kα).

Peak list (10 most intense, 2θ = 10–90°, in order of rising 2θ)
2.905 Å, I 100; 2.612 Å, I 19; 2.471 Å, I 32; 1.795 Å, I 24; 1.747 Å, I 11; 1.559 Å, I 15; 1.497 Å, I 26; 1.452 Å, I 12; 1.163 Å, I 11; 1.155 Å, I 5

Structural model:
a = 4.9424 Å, b = 4.9424 Å, c = 10.4482 Å
α = 90.00°, β = 90.00°, γ = 90.00°
Atoms (fractional coordinates):
Ba: 0.0000 0.0000 0.0000
Ba: 0.5000 0.5000 0.5000
Y: 0.0000 0.0000 0.5000
Y: 0.0000 0.5000 0.7500
Y: 0.5000 0.0000 0.2500
Y: 0.5000 0.5000 0.0000
Ag: 0.0000 0.5000 0.2500
Ag: 0.5000 0.0000 0.7500

Record 2
For BeCl2, a cell relaxed with PBE gives the computed powder X-ray diffraction pattern in this record (copper Kα).

Peak list (10 most intense, 2θ = 10–90°, in order of rising 2θ)
5.472 Å, I 22; 5.187 Å, I 41; 3.185 Å, I 100; 2.736 Å, I 11; 2.622 Å, I 15; 2.500 Å, I 11; 2.243 Å, I 12; 2.100 Å, I 16; 1.893 Å, I 10; 1.602 Å, I 10

Structural model:
a = 5.8906 Å, b = 10.9444 Å, c = 5.2440 Å
α = 90.00°, β = 90.00°, γ = 90.00°
Atoms (fractional coordinates):
Be: 0.0000 0.0000 0.2500
Be: 0.0000 0.0000 0.7500
Be: 0.5000 0.5000 0.2500
Be: 0.5000 0.5000 0.7500
Cl: 0.1865 0.1006 0.0000
Cl: 0.1865 0.8994 0.5000
Cl: 0.3135 0.3994 0.5000
Cl: 0.3135 0.6006 0.0000
Cl: 0.6865 0.3994 0.0000
Cl: 0.6865 0.6006 0.5000
Cl: 0.8135 0.1006 0.5000
Cl: 0.8135 0.8994 0.0000

Record 3
For EuB2O4, a cell relaxed with PBE gives the computed powder X-ray diffraction pattern in this record (copper Kα).

Peak list (10 most intense, 2θ = 10–90°, in order of rising 2θ)
6.037 Å, I 66; 3.504 Å, I 100; 3.342 Å, I 26; 3.019 Å, I 21; 2.924 Å, I 33; 2.708 Å, I 61; 2.240 Å, I 22; 2.015 Å, I 41; 1.959 Å, I 34; 1.781 Å, I 17

Structural model:
a = 12.0740 Å, b = 4.3758 Å, c = 6.6850 Å
α = 90.00°, β = 90.00°, γ = 90.00°
Atoms (fractional coordinates):
Eu: 0.0000 0.2336 0.2500
Eu: 0.0000 0.7664 0.7500
Eu: 0.5000 0.2664 0.7500
Eu: 0.5000 0.7336 0.2500
B: 0.1940 0.3272 0.6241
B: 0.1940 0.6728 0.1241
B: 0.3060 0.1728 0.1241
B: 0.3060 0.8272 0.6241
B: 0.6940 0.1728 0.3759
B: 0.6940 0.8272 0.8759
B: 0.8060 0.3272 0.8759
B: 0.8060 0.6728 0.3759
O: 0.0902 0.2334 0.5915
O: 0.0902 0.7666 0.0915
O: 0.2113 0.3541 0.1452
O: 0.2113 0.6459 0.6452
O: 0.2887 0.1459 0.6452
O: 0.2887 0.8541 0.1452
O: 0.4098 0.2666 0.0915
O: 0.4098 0.7334 0.5915
O: 0.5902 0.2666 0.4085
O: 0.5902 0.7334 0.9085
O: 0.7113 0.1459 0.8548
O: 0.7113 0.8541 0.3548
O: 0.7887 0.3541 0.3548
O: 0.7887 0.6459 0.8548
O: 0.9098 0.2334 0.9085
O: 0.9098 0.7666 0.4085

Record 4
For PmY5Er3, a cell relaxed with PBE gives the computed powder X-ray diffraction pattern in this record (copper Kα).

Peak list (10 most intense, 2θ = 10–90°, in order of rising 2θ)
7.544 Å, I 22; 3.765 Å, I 25; 2.873 Å, I 100; 2.857 Å, I 44; 2.834 Å, I 61; 2.784 Å, I 55; 2.752 Å, I 41; 2.728 Å, I 24; 2.504 Å, I 23; 2.347 Å, I 24

Structural model:
a = 8.6781 Å, b = 8.6781 Å, c = 11.8147 Å
α = 107.95°, β = 107.95°, γ = 45.48°
Atoms (fractional coordinates):
Pm: 0.1989 0.8011 0.7500
Pm: 0.8011 0.1989 0.2500
Y: 0.0865 0.4774 0.7375
Y: 0.1350 0.2341 0.9513
Y: 0.2341 0.1350 0.4513
Y: 0.3059 0.6941 0.2500
Y: 0.4774 0.0865 0.2375
Y: 0.5226 0.9135 0.7625
Y: 0.6941 0.3059 0.7500
Y: 0.7659 0.8650 0.5487
Y: 0.8650 0.7659 0.0487
Y: 0.9135 0.5226 0.2625
Er: 0.0000 0.0000 0.0000
Er: 0.0000 0.0000 0.5000
Er: 0.3419 0.4471 0.4887
Er: 0.4471 0.3419 0.9887
Er: 0.5529 0.6581 0.0113
Er: 0.6581 0.5529 0.5113

Record 5
For Pm2In3Pb3, a cell relaxed with PBE gives the computed powder X-ray diffraction pattern in this record (copper Kα).

Peak list (10 most intense, 2θ = 10–90°, in order of rising 2θ)
2.775 Å, I 100; 2.474 Å, I 18; 2.378 Å, I 16; 2.363 Å, I 16; 1.714 Å, I 12; 1.709 Å, I 12; 1.480 Å, I 15; 1.438 Å, I 14; 1.431 Å, I 13; 1.388 Å, I 12

Structural model:
a = 4.7552 Å, b = 4.9487 Å, c = 9.4510 Å
α = 90.00°, β = 90.00°, γ = 90.00°
Atoms (fractional coordinates):
Pm: 0.0000 0.0000 0.2473
Pm: 0.0000 0.0000 0.7527
In: 0.0000 0.5000 0.0000
In: 0.5000 0.5000 0.2419
In: 0.5000 0.5000 0.7581
Pb: 0.0000 0.5000 0.5000
Pb: 0.5000 0.0000 0.0000
Pb: 0.5000 0.0000 0.5000

Record 6
For K2PtBr2, a cell relaxed with PBE gives the computed powder X-ray diffraction pattern in this record (copper Kα).

Peak list (10 most intense, 2θ = 10–90°, in order of rising 2θ)
5.162 Å, I 77; 4.585 Å, I 89; 3.242 Å, I 100; 2.745 Å, I 33; 2.604 Å, I 47; 2.292 Å, I 38; 2.050 Å, I 22; 2.030 Å, I 46; 1.781 Å, I 27; 1.520 Å, I 18

Structural model:
a = 6.4839 Å, b = 6.4839 Å, c = 8.5289 Å
α = 90.00°, β = 90.00°, γ = 90.00°
Atoms (fractional coordinates):
K: 0.0000 0.5000 0.2500
K: 0.0000 0.5000 0.7500
K: 0.5000 0.0000 0.2500
K: 0.5000 0.0000 0.7500
Pt: 0.0000 0.0000 0.0000
Pt: 0.5000 0.5000 0.5000
Br: 0.0000 0.0000 0.2829
Br: 0.0000 0.0000 0.7171
Br: 0.5000 0.5000 0.2171
Br: 0.5000 0.5000 0.7829

Record 7
For La3Pr8Sc2, a cell relaxed with PBE gives the computed powder X-ray diffraction pattern in this record (copper Kα).

Peak list (10 most intense, 2θ = 10–90°, in order of rising 2θ)
3.648 Å, I 38; 3.116 Å, I 71; 2.976 Å, I 95; 2.854 Å, I 100; 2.811 Å, I 86; 2.766 Å, I 95; 2.595 Å, I 28; 2.576 Å, I 35; 2.238 Å, I 33; 1.714 Å, I 26

Structural model:
a = 8.9616 Å, b = 8.9616 Å, c = 6.9763 Å
α = 106.52°, β = 106.52°, γ = 62.00°
Atoms (fractional coordinates):
La: 0.0000 0.0000 0.0000
La: 0.1751 0.8249 0.5000
La: 0.8249 0.1751 0.5000
Pr: 0.1914 0.1914 0.8992
Pr: 0.1982 0.5566 0.8046
Pr: 0.3882 0.3882 0.2901
Pr: 0.4434 0.8018 0.1954
Pr: 0.5566 0.1982 0.8046
Pr: 0.6118 0.6118 0.7099
Pr: 0.8018 0.4434 0.1954
Pr: 0.8086 0.8086 0.1008
Sc: 0.1937 0.1937 0.4265
Sc: 0.8063 0.8063 0.5735

Record 8
For MgCd12In16, a cell relaxed with PBE gives the computed powder X-ray diffraction pattern in this record (copper Kα).

Peak list (10 most intense, 2θ = 10–90°, in order of rising 2θ)
2.841 Å, I 14; 2.679 Å, I 100; 2.674 Å, I 19; 2.426 Å, I 16; 2.420 Å, I 23; 2.317 Å, I 9; 2.231 Å, I 10; 2.226 Å, I 14; 1.546 Å, I 14; 1.544 Å, I 9

Structural model:
a = 9.8379 Å, b = 9.8379 Å, c = 9.8214 Å
α = 109.39°, β = 109.39°, γ = 109.44°
Atoms (fractional coordinates):
Mg: 0.0000 0.0000 0.0000
Cd: 0.1217 0.3077 0.3386
Cd: 0.1250 0.5065 0.9183
Cd: 0.1274 0.9420 0.7326
Cd: 0.3077 0.1217 0.3386
Cd: 0.3180 0.9455 0.5408
Cd: 0.4976 0.6876 0.0987
Cd: 0.5005 0.5005 0.5365
Cd: 0.5065 0.1250 0.9183
Cd: 0.6876 0.4976 0.0987
Cd: 0.6944 0.6944 0.9134
Cd: 0.9420 0.1274 0.7326
Cd: 0.9455 0.3180 0.5408
In: 0.0049 0.5988 0.4158
In: 0.0312 0.7292 0.1356
In: 0.3095 0.3095 0.0700
In: 0.3122 0.9037 0.0350
In: 0.3138 0.6297 0.3196
In: 0.3144 0.6508 0.7218
In: 0.3200 0.3200 0.7329
In: 0.5988 0.0049 0.4158
In: 0.6297 0.3138 0.3196
In: 0.6303 0.9048 0.7296
In: 0.6508 0.3144 0.7218
In: 0.7210 0.7210 0.4431
In: 0.7292 0.0312 0.1356
In: 0.9037 0.3122 0.0350
In: 0.9048 0.6303 0.7296
In: 0.9822 0.9822 0.3976

Record 9
For Li5Cd4Pd2, a cell relaxed with PBE gives the computed powder X-ray diffraction pattern in this record (copper Kα).

Peak list (10 most intense, 2θ = 10–90°, in order of rising 2θ)
4.331 Å, I 100; 2.781 Å, I 12; 2.738 Å, I 21; 2.488 Å, I 25; 2.387 Å, I 10; 2.340 Å, I 17; 2.314 Å, I 31; 2.165 Å, I 18; 2.157 Å, I 31; 1.633 Å, I 13

Structural model:
a = 5.5506 Å, b = 16.6965 Å, c = 4.3308 Å
α = 90.00°, β = 90.00°, γ = 90.00°
Atoms (fractional coordinates):
Li: 0.0000 0.0000 0.0000
Li: 0.0280 0.4006 0.0000
Li: 0.1214 0.2283 0.0000
Li: 0.3786 0.7283 0.0000
Li: 0.4720 0.9006 0.0000
Li: 0.5000 0.5000 0.0000
Li: 0.5280 0.0994 0.0000
Li: 0.6214 0.2717 0.0000
Li: 0.8786 0.7717 0.0000
Li: 0.9720 0.5994 0.0000
Cd: 0.1335 0.8565 0.5000
Cd: 0.2308 0.5323 0.5000
Cd: 0.2692 0.0323 0.5000
Cd: 0.3665 0.3565 0.5000
Cd: 0.6335 0.6435 0.5000
Cd: 0.7308 0.9677 0.5000
Cd: 0.7692 0.4677 0.5000
Cd: 0.8665 0.1435 0.5000
Pd: 0.1169 0.6938 0.5000
Pd: 0.3831 0.1938 0.5000
Pd: 0.6169 0.8062 0.5000
Pd: 0.8831 0.3062 0.5000

Record 10
For AcTb2Si4, a cell relaxed with PBE gives the computed powder X-ray diffraction pattern in this record (copper Kα).

Peak list (10 most intense, 2θ = 10–90°, in order of rising 2θ)
4.358 Å, I 42; 3.286 Å, I 64; 2.955 Å, I 27; 2.815 Å, I 100; 2.784 Å, I 56; 2.466 Å, I 25; 2.248 Å, I 24; 1.855 Å, I 26; 1.776 Å, I 26; 1.612 Å, I 22

Structural model:
a = 3.9530 Å, b = 4.4956 Å, c = 17.7289 Å
α = 90.00°, β = 90.00°, γ = 90.00°
Atoms (fractional coordinates):
Ac: 0.0000 0.0000 0.0000
Ac: 0.5000 0.5000 0.5000
Tb: 0.0000 0.5000 0.3171
Tb: 0.0000 0.5000 0.6829
Tb: 0.5000 0.0000 0.1829
Tb: 0.5000 0.0000 0.8171
Si: 0.0000 0.0000 0.4305
Si: 0.0000 0.0000 0.5695
Si: 0.0000 0.5000 0.1515
Si: 0.0000 0.5000 0.8485
Si: 0.5000 0.0000 0.3485
Si: 0.5000 0.0000 0.6515
Si: 0.5000 0.5000 0.0695
Si: 0.5000 0.5000 0.9305

Record 11
For Sm4YSe5, a cell relaxed with PBE gives the computed powder X-ray diffraction pattern in this record (copper Kα).

Peak list (10 most intense, 2θ = 10–90°, in order of rising 2θ)
3.394 Å, I 20; 2.950 Å, I 50; 2.934 Å, I 100; 2.080 Å, I 73; 2.075 Å, I 37; 1.697 Å, I 39; 1.318 Å, I 15; 1.314 Å, I 16; 1.312 Å, I 17; 1.199 Å, I 24

Structural model:
a = 15.0365 Å, b = 15.0365 Å, c = 15.0365 Å
α = 164.14°, β = 164.14°, γ = 22.51°
Atoms (fractional coordinates):
Sm: 0.1018 0.1018 0.0000
Sm: 0.3038 0.3038 0.0000
Sm: 0.6962 0.6962 0.0000
Sm: 0.8982 0.8982 0.0000
Y: 0.5000 0.5000 0.0000
Se: 0.0000 0.0000 0.0000
Se: 0.2022 0.2022 0.0000
Se: 0.4029 0.4029 0.0000
Se: 0.5971 0.5971 0.0000
Se: 0.7978 0.7978 0.0000

Q: Number 6 is which compound?
A: K2PtBr2